Record 1
# CsK3Cd3
Theoretical X-ray powder pattern, Cu Kα (weighted mean of Kα1 and Kα2). Input: a crystal structure in Alexandria, relaxed with GGA-PBE.
Intensities are scaled so that the largest is 100.

Most intense lines, 10 to 80 degrees two-theta, in order of rising 2θ:
Position (°2θ)	I/Imax
18.21	40.7
20.38	31.6
22.35	100.0
34.45	64.9
36.91	29.2
58.40	20.1

Structural model:
```
data_CsK3Cd3
_chemical_formula_sum 'Cs2 K6 Cd6'
_symmetry_space_group_name_H-M 'P m -3 n'
_symmetry_Int_Tables_number 223
_symmetry_space_group_name_Hall '-P 4n 2 3'
_cell_length_a 9.742
_cell_length_b 9.742
_cell_length_c 9.742
_cell_angle_alpha 90.00
_cell_angle_beta 90.00
_cell_angle_gamma 90.00
loop_
_atom_site_label
_atom_site_type_symbol
_atom_site_fract_x
_atom_site_fract_y
_atom_site_fract_z
_atom_site_occupancy
Cs1 Cs 0.000 0.000 0.000 1
K1 K 0.000 0.250 0.500 1
Cd1 Cd 0.000 0.500 0.250 1
```

Record 2
# CsK3Cd
Theoretical X-ray powder pattern, Cu Kα (weighted mean of Kα1 and Kα2). Input: a crystal structure in Alexandria, relaxed with GGA-PBE.
Intensities are scaled so that the largest is 100.

Most intense lines, 10 to 80 degrees two-theta, in order of rising 2θ:
Position (°2θ)	I/Imax
12.27	35.0
20.58	100.0
23.38	62.5
23.48	94.8
23.60	72.2
28.70	98.2

Structural model:
```
data_CsK3Cd
_chemical_formula_sum 'Cs8 K24 Cd8'
_symmetry_space_group_name_H-M 'C 1 2/c 1'
_symmetry_Int_Tables_number 15
_symmetry_space_group_name_Hall '-C 2yc'
_cell_length_a 22.737
_cell_length_b 13.198
_cell_length_c 8.794
_cell_angle_alpha 90.00
_cell_angle_beta 100.54
_cell_angle_gamma 90.00
loop_
_atom_site_label
_atom_site_type_symbol
_atom_site_fract_x
_atom_site_fract_y
_atom_site_fract_z
_atom_site_occupancy
Cs1 Cs 0.000 0.058 0.250 1
Cs2 Cs 0.000 0.364 0.750 1
K1 K 0.170 0.173 0.086 1
K2 K 0.171 0.500 0.092 1
K3 K 0.172 0.170 0.585 1
Cd1 Cd 0.067 0.338 0.293 1
```

Record 3
# Cs2K2Cd3O5
Theoretical X-ray powder pattern, Cu Kα (weighted mean of Kα1 and Kα2). Input: a crystal structure in Alexandria, relaxed with GGA-PBE.
Intensities are scaled so that the largest is 100.

Most intense lines, 10 to 80 degrees two-theta, in order of rising 2θ:
Position (°2θ)	I/Imax
28.33	58.3
29.02	67.7
30.72	27.2
30.85	37.3
32.01	100.0
38.34	24.1

Structural model:
```
data_Cs2K2Cd3O5
_chemical_formula_sum 'Cs4 K4 Cd6 O10'
_symmetry_space_group_name_H-M 'P -1'
_symmetry_Int_Tables_number 2
_symmetry_space_group_name_Hall '-P 1'
_cell_length_a 6.715
_cell_length_b 9.416
_cell_length_c 9.614
_cell_angle_alpha 65.35
_cell_angle_beta 73.55
_cell_angle_gamma 71.41
loop_
_atom_site_label
_atom_site_type_symbol
_atom_site_fract_x
_atom_site_fract_y
_atom_site_fract_z
_atom_site_occupancy
Cs1 Cs 0.050 0.076 0.148 1
Cs2 Cs 0.391 0.209 0.746 1
K1 K 0.053 0.454 0.193 1
K2 K 0.241 0.072 0.473 1
Cd1 Cd 0.127 0.640 0.407 1
Cd2 Cd 0.404 0.683 0.995 1
Cd3 Cd 0.431 0.670 0.672 1
O1 O 0.111 0.753 0.154 1
O2 O 0.188 0.780 0.516 1
O3 O 0.232 0.377 0.459 1
O4 O 0.318 0.496 0.907 1
O5 O 0.426 0.867 0.757 1
```

Record 4
# CsK2TlCd2
Theoretical X-ray powder pattern, Cu Kα (weighted mean of Kα1 and Kα2). Input: a crystal structure in Alexandria, relaxed with GGA-PBE.
Intensities are scaled so that the largest is 100.

Most intense lines, 10 to 80 degrees two-theta, in order of rising 2θ:
Position (°2θ)	I/Imax
13.08	100.0
25.73	62.9
26.19	91.5
30.66	52.2
31.17	69.4
33.94	64.3

Structural model:
```
data_CsK2TlCd2
_chemical_formula_sum 'Cs2 K4 Tl2 Cd4'
_symmetry_space_group_name_H-M 'P m c 21'
_symmetry_Int_Tables_number 26
_symmetry_space_group_name_Hall 'P 2c -2'
_cell_length_a 5.739
_cell_length_b 9.803
_cell_length_c 9.363
_cell_angle_alpha 90.00
_cell_angle_beta 90.00
_cell_angle_gamma 90.00
loop_
_atom_site_label
_atom_site_type_symbol
_atom_site_fract_x
_atom_site_fract_y
_atom_site_fract_z
_atom_site_occupancy
Cs1 Cs 0.000 0.049 0.000 1
K1 K 0.000 0.344 0.334 1
K2 K 0.500 0.404 0.982 1
Tl1 Tl 0.500 0.217 0.619 1
Cd1 Cd 0.000 0.318 0.703 1
Cd2 Cd 0.500 0.097 0.280 1
```

Record 5
# Cs2MgCd2
Theoretical X-ray powder pattern, Cu Kα (weighted mean of Kα1 and Kα2). Input: a crystal structure in Alexandria, relaxed with GGA-PBE.
Intensities are scaled so that the largest is 100.

Most intense lines, 10 to 80 degrees two-theta, in order of rising 2θ:
Position (°2θ)	I/Imax
20.25	100.0
22.86	32.1
26.92	48.7
28.70	79.4
35.16	70.1
42.35	36.9

Structural model:
```
data_Cs2MgCd2
_chemical_formula_sum 'Cs6 Mg3 Cd6'
_symmetry_space_group_name_H-M 'R -3 m'
_symmetry_Int_Tables_number 166
_symmetry_space_group_name_Hall '-R 3 2"'
_cell_length_a 5.1044
_cell_length_b 5.1044
_cell_length_c 35.0149
_cell_angle_alpha 90.00
_cell_angle_beta 90.00
_cell_angle_gamma 120.00
loop_
_atom_site_label
_atom_site_type_symbol
_atom_site_fract_x
_atom_site_fract_y
_atom_site_fract_z
_atom_site_occupancy
Cs1 Cs 0.0000 0.0000 0.0722 1
Mg1 Mg 0.0000 0.0000 0.5000 1
Cd1 Cd 0.0000 0.0000 0.1801 1
```

Record 6
# CsMg7Cd12
Theoretical X-ray powder pattern, Cu Kα (weighted mean of Kα1 and Kα2). Input: a crystal structure in Alexandria, relaxed with GGA-PBE.
Intensities are scaled so that the largest is 100.

Most intense lines, 10 to 80 degrees two-theta, in order of rising 2θ:
Position (°2θ)	I/Imax
27.19	100.0
29.68	35.3
34.16	45.7
35.54	77.7
36.22	47.1
38.19	33.7

Structural model:
```
data_CsMg7Cd12
_chemical_formula_sum 'Cs3 Mg21 Cd36'
_symmetry_space_group_name_H-M 'R -3 m'
_symmetry_Int_Tables_number 166
_symmetry_space_group_name_Hall '-R 3 2"'
_cell_length_a 15.1406
_cell_length_b 15.1406
_cell_length_c 7.5863
_cell_angle_alpha 90.00
_cell_angle_beta 90.00
_cell_angle_gamma 120.00
loop_
_atom_site_label
_atom_site_type_symbol
_atom_site_fract_x
_atom_site_fract_y
_atom_site_fract_z
_atom_site_occupancy
Cs1 Cs 0.0000 0.0000 0.0000 1
Mg1 Mg 0.0000 0.0000 0.5000 1
Mg2 Mg 0.1017 0.5508 0.3462 1
Cd1 Cd 0.0000 0.2663 0.0000 1
Cd2 Cd 0.1080 0.5540 0.9525 1
```

Record 7
# Cs4MgCd4
Theoretical X-ray powder pattern, Cu Kα (weighted mean of Kα1 and Kα2). Input: a crystal structure in Alexandria, relaxed with GGA-PBE.
Intensities are scaled so that the largest is 100.

Most intense lines, 10 to 80 degrees two-theta, in order of rising 2θ:
Position (°2θ)	I/Imax
22.16	100.0
25.43	19.3
27.23	21.5
31.54	75.4
38.89	20.2
50.90	16.0

Structural model:
```
data_Cs4MgCd4
_chemical_formula_sum 'Cs8 Mg2 Cd8'
_symmetry_space_group_name_H-M 'I -4 2 m'
_symmetry_Int_Tables_number 121
_symmetry_space_group_name_Hall 'I -4 2'
_cell_length_a 8.024
_cell_length_b 8.024
_cell_length_c 16.039
_cell_angle_alpha 90.00
_cell_angle_beta 90.00
_cell_angle_gamma 90.00
loop_
_atom_site_label
_atom_site_type_symbol
_atom_site_fract_x
_atom_site_fract_y
_atom_site_fract_z
_atom_site_occupancy
Cs1 Cs 0.215 0.215 0.357 1
Mg1 Mg 0.000 0.000 0.000 1
Cd1 Cd 0.220 0.220 0.104 1
```

Record 8
# Cs2MgCd3
Theoretical X-ray powder pattern, Cu Kα (weighted mean of Kα1 and Kα2). Input: a crystal structure in Alexandria, relaxed with GGA-PBE.
Intensities are scaled so that the largest is 100.

Most intense lines, 10 to 80 degrees two-theta, in order of rising 2θ:
Position (°2θ)	I/Imax
11.95	30.1
25.69	89.1
27.60	33.0
29.22	100.0
31.53	37.2
52.81	31.2

Structural model:
```
data_Cs2MgCd3
_chemical_formula_sum 'Cs4 Mg2 Cd6'
_symmetry_space_group_name_H-M 'P m m a'
_symmetry_Int_Tables_number 51
_symmetry_space_group_name_Hall '-P 2a 2a'
_cell_length_a 6.464
_cell_length_b 7.408
_cell_length_c 9.874
_cell_angle_alpha 90.00
_cell_angle_beta 90.00
_cell_angle_gamma 90.00
loop_
_atom_site_label
_atom_site_type_symbol
_atom_site_fract_x
_atom_site_fract_y
_atom_site_fract_z
_atom_site_occupancy
Cs1 Cs 0.250 0.000 0.117 1
Cs2 Cs 0.250 0.500 0.352 1
Mg1 Mg 0.250 0.500 0.923 1
Cd1 Cd 0.000 0.000 0.500 1
Cd2 Cd 0.250 0.210 0.715 1
```

Record 9
# Cs2RbMgCd
Theoretical X-ray powder pattern, Cu Kα (weighted mean of Kα1 and Kα2). Input: a crystal structure in Alexandria, relaxed with GGA-PBE.
Intensities are scaled so that the largest is 100.

Most intense lines, 10 to 80 degrees two-theta, in order of rising 2θ:
Position (°2θ)	I/Imax
15.57	36.4
19.44	39.7
22.69	59.6
23.28	100.0
33.15	40.1
39.48	49.1

Structural model:
```
data_Cs2RbMgCd
_chemical_formula_sum 'Cs2 Rb1 Mg1 Cd1'
_symmetry_space_group_name_H-M 'P 4/m m m'
_symmetry_Int_Tables_number 123
_symmetry_space_group_name_Hall '-P 4 2'
_cell_length_a 7.643
_cell_length_b 7.643
_cell_length_c 5.693
_cell_angle_alpha 90.00
_cell_angle_beta 90.00
_cell_angle_gamma 90.00
loop_
_atom_site_label
_atom_site_type_symbol
_atom_site_fract_x
_atom_site_fract_y
_atom_site_fract_z
_atom_site_occupancy
Cs1 Cs 0.000 0.500 0.000 1
Rb1 Rb 0.000 0.000 0.500 1
Mg1 Mg 0.500 0.500 0.500 1
Cd1 Cd 0.500 0.500 0.000 1
```

Record 10
# Cs2MnCdSe4
Theoretical X-ray powder pattern, Cu Kα (weighted mean of Kα1 and Kα2). Input: a crystal structure in Alexandria, relaxed with GGA-PBE.
Intensities are scaled so that the largest is 100.

Most intense lines, 10 to 80 degrees two-theta, in order of rising 2θ:
Position (°2θ)	I/Imax
23.64	43.2
24.42	52.8
25.66	89.9
29.31	100.0
35.42	55.5
43.57	39.6

Structural model:
```
data_Cs2MnCdSe4
_chemical_formula_sum 'Cs16 Mn8 Cd8 Se32'
_symmetry_space_group_name_H-M 'F d d d'
_symmetry_Int_Tables_number 70
_cell_length_a 6.325
_cell_length_b 14.296
_cell_length_c 25.423
_cell_angle_alpha 90.00
_cell_angle_beta 90.00
_cell_angle_gamma 90.00
loop_
_symmetry_equiv_pos_as_xyz
'x,y,z'
'-x,-y,-z'
'-x+1/4,-y+1/4,z'
'x+1/4,y+1/4,-z'
'x,-y+1/4,-z+1/4'
'-x,y+1/4,z+1/4'
'-x+1/4,y,-z+1/4'
'x+1/4,-y,z+1/4'
'x,y+1/2,z+1/2'
'-x,-y+1/2,-z+1/2'
'-x+1/4,-y+3/4,z+1/2'
'x+1/4,y+3/4,-z+1/2'
'x,-y+3/4,-z+3/4'
'-x,y+3/4,z+3/4'
'-x+1/4,y+1/2,-z+3/4'
'x+1/4,-y+1/2,z+3/4'
'x+1/2,y,z+1/2'
'-x+1/2,-y,-z+1/2'
'-x+3/4,-y+1/4,z+1/2'
'x+3/4,y+1/4,-z+1/2'
'x+1/2,-y+1/4,-z+3/4'
'-x+1/2,y+1/4,z+3/4'
'-x+3/4,y,-z+3/4'
'x+3/4,-y,z+3/4'
'x+1/2,y+1/2,z'
'-x+1/2,-y+1/2,-z'
'-x+3/4,-y+3/4,z'
'x+3/4,y+3/4,-z'
'x+1/2,-y+3/4,-z+1/4'
'-x+1/2,y+3/4,z+1/4'
'-x+3/4,y+1/2,-z+1/4'
'x+3/4,-y+1/2,z+1/4'
loop_
_atom_site_label
_atom_site_type_symbol
_atom_site_fract_x
_atom_site_fract_y
_atom_site_fract_z
_atom_site_occupancy
Cs1 Cs 0.125 0.125 0.306 1
Mn1 Mn 0.125 0.125 0.625 1
Cd1 Cd 0.125 0.125 0.125 1
Se1 Se 0.088 0.283 0.819 1
```